MgZr4Cu2S8: computed powder X-ray diffraction pattern (CuKα), based on a PBE-relaxed structure.
Kinematic intensities with the Lorentz-polarization factor, no thermal factor.

Structure:
```
data_MgZr4Cu2S8
_cell_length_a 7.3283
_cell_length_b 7.3283
_cell_length_c 18.6709
_cell_angle_alpha 90.00
_cell_angle_beta 90.00
_cell_angle_gamma 120.00
_symmetry_space_group_name_H-M 'R -3 m'
_symmetry_Int_Tables_number 166
_symmetry_space_group_name_Hall '-R 3 2"'
loop_
_atom_site_label
_atom_site_type_symbol
_atom_site_fract_x
_atom_site_fract_y
_atom_site_fract_z
Mg1 Mg 0.0000 0.0000 0.0000
Zr1 Zr 0.0000 0.0000 0.5000
Zr2 Zr 0.0000 0.5000 0.0000
Cu1 Cu 0.0000 0.0000 0.1378
S1 S 0.0000 0.0000 0.2551
S2 S 0.0015 0.5008 0.7504
```

Largest 10 diffraction maxima, by angle, 5 to 70 degrees two-theta:
24.29 deg, intensity 24, hkl 1 1 0
27.72 deg, intensity 32, hkl 0 1 5
28.26 deg, intensity 88, hkl 1 1 3
28.53 deg, intensity 52, hkl 0 2 1
34.17 deg, intensity 100, hkl 0 2 4
44.37 deg, intensity 22, hkl 0 2 7
45.27 deg, intensity 23, hkl 3 0 3
48.41 deg, intensity 74, hkl 2 0 8
49.77 deg, intensity 74, hkl 2 2 0
61.75 deg, intensity 16, hkl 4 0 4